Computed PXRD pattern of BeVO3 for Cu Kα, 1.54184 Å, from a structure optimized by DFT (GGA+U).

Main lines, in order of rising 2θ (10 to 90 degrees two-theta):
- 2θ = 21.73°, d = 4.090 Å, intensity 105, hkl 1 0 0
- 2θ = 29.91°, d = 2.987 Å, intensity 1000, hkl 1 0 1
- 2θ = 38.11°, d = 2.361 Å, intensity 137, hkl 1 1 0
- 2θ = 43.56°, d = 2.078 Å, intensity 283, hkl 1 1 1
- 2θ = 44.30°, d = 2.045 Å, intensity 59, hkl 2 0 0
- 2θ = 47.12°, d = 1.929 Å, intensity 75, hkl 1 0 2
- 2θ = 49.19°, d = 1.852 Å, intensity 224, hkl 2 0 1
- 2θ = 57.43°, d = 1.604 Å, intensity 425, hkl 1 1 2
- 2θ = 63.87°, d = 1.457 Å, intensity 198, hkl 2 1 1
- 2θ = 68.30°, d = 1.373 Å, intensity 75, hkl 1 0 3
- 2θ = 68.88°, d = 1.363 Å, intensity 172, hkl 3 0 0
- 2θ = 89.20°, d = 1.098 Å, intensity 72, hkl 3 1 1

Cell and atoms:
Cell: 4.7223 4.7223 4.3740 Å, 90.00 90.00 120.00°
Space group P6_322 (No. 182)
One atom of each set of equivalent atoms:
Be: 0.0000 0.0000 0.2500
V: 0.3333 0.6667 0.2500
O: 0.0000 0.3087 0.5000